[1]
Calculated X-ray powder pattern
Compound: HgSbS
Radiation: Cu Kα (λ = 1.5418 Å)
Structure: a DFT-relaxed cell (PBE, Alexandria)
Kinematic intensities with the Lorentz-polarization factor, no thermal factor.

Most intense lines, 2θ = 5–70°, low angle first:
2theta  Rel. int.
20.5  83.8
24.4  51.0
25.1  38.1
25.2  37.0
28.5  41.2
29.1  100.0
30.5  76.1
31.7  76.0
38.3  32.7
40.2  27.5
43.5  31.8
43.7  31.6

Structural model:
Cell lengths 3.6483, 6.1454, 8.6758 Å; angles 89.65, 88.82, 89.94 degrees
Positions (direct):
Hg 0.0000 0.0000 0.0000
Hg 0.2987 0.4987 0.8514
Sb 0.1439 0.4960 0.4263
Sb 0.1521 0.9956 0.4254
S 0.6434 0.9947 0.6214
S 0.6526 0.4987 0.2303

[2]
Calculated X-ray powder pattern
Compound: Pm3NdI8
Radiation: Cu Kα (λ = 1.5418 Å)
Structure: a DFT-relaxed cell (PBE, Alexandria)
Kinematic intensities with the Lorentz-polarization factor, no thermal factor.

Most intense lines, 2θ = 5–70°, low angle first:
2theta  Rel. int.
10.8  42.2
24.7  19.4
28.5  100.0
30.5  11.1
38.4  44.7
42.9  32.5
44.4  18.0
52.3  18.1
58.9  12.6
63.5  20.2
66.2  10.1
69.9  10.1

Structural model:
Cell lengths 8.4281, 8.4281, 9.5027 Å; angles 116.35, 116.35, 60.07 degrees
Positions (direct):
Pm 0.0000 0.0000 0.0000
Pm 0.0000 0.5000 0.0000
Pm 0.5000 0.0000 0.0000
Nd 0.5000 0.5000 0.0000
I 0.2479 0.7510 0.2500
I 0.2490 0.2490 0.7500
I 0.2490 0.7521 0.7500
I 0.2495 0.2495 0.2485
I 0.7505 0.7505 0.7515
I 0.7510 0.2479 0.2500
I 0.7510 0.7510 0.2500
I 0.7521 0.2490 0.7500

[3]
Calculated X-ray powder pattern
Compound: Pm3TmP4
Radiation: Cu Kα (λ = 1.5418 Å)
Structure: a DFT-relaxed cell (PBE, Alexandria)
Kinematic intensities with the Lorentz-polarization factor, no thermal factor.

Most intense lines, 2θ = 5–70°, low angle first:
2theta  Rel. int.
26.7  83.5
30.9  100.0
44.3  73.2
52.5  41.2
55.0  25.6
64.5  11.9

Structural model:
Cell lengths 7.0772, 8.1816, 7.0788 Å; angles 90.00, 109.51, 90.00 degrees
Positions (direct):
Pm 0.0000 0.1242 0.2500
Pm 0.0000 0.3736 0.7500
Pm 0.0000 0.6264 0.2500
Pm 0.0000 0.8758 0.7500
Pm 0.5000 0.3738 0.2500
Pm 0.5000 0.6262 0.7500
Tm 0.5000 0.1239 0.7500
Tm 0.5000 0.8761 0.2500
P 0.2535 0.3709 0.5042
P 0.2535 0.6291 0.0042
P 0.2579 0.1208 0.9996
P 0.2579 0.8792 0.4996
P 0.7421 0.1208 0.5004
P 0.7421 0.8792 0.0004
P 0.7465 0.3709 0.9958
P 0.7465 0.6291 0.4958

[4]
Calculated X-ray powder pattern
Compound: ThPb2S4
Radiation: Cu Kα (λ = 1.5418 Å)
Structure: a DFT-relaxed cell (PBE, Alexandria)
Kinematic intensities with the Lorentz-polarization factor, no thermal factor.

Most intense lines, 2θ = 5–70°, low angle first:
2theta  Rel. int.
18.3  25.8
24.1  76.1
25.1  21.6
25.3  100.0
30.4  19.1
33.0  46.2
35.2  37.2
42.8  18.5
43.1  38.0
47.8  23.7
49.7  23.2
51.5  15.3

Structural model:
Cell lengths 7.3823, 12.8138, 4.2238 Å; angles 90.00, 90.00, 90.00 degrees
Positions (direct):
Th 0.0000 0.0000 0.0000
Th 0.5000 0.5000 0.0000
Pb 0.1133 0.3287 0.5000
Pb 0.3867 0.8287 0.5000
Pb 0.6133 0.1713 0.5000
Pb 0.8867 0.6713 0.5000
S 0.1305 0.7967 0.0000
S 0.2421 0.0373 0.5000
S 0.2579 0.5373 0.5000
S 0.3695 0.2967 0.0000
S 0.6305 0.7033 0.0000
S 0.7421 0.4627 0.5000
S 0.7579 0.9627 0.5000
S 0.8695 0.2033 0.0000

[5]
Calculated X-ray powder pattern
Compound: KCdIn3
Radiation: Cu Kα (λ = 1.5418 Å)
Structure: a DFT-relaxed cell (PBE, Alexandria)
Kinematic intensities with the Lorentz-polarization factor, no thermal factor.

Most intense lines, 2θ = 5–70°, low angle first:
2theta  Rel. int.
13.6  49.4
19.6  73.7
27.6  41.0
29.4  74.3
29.6  73.1
37.1  100.0
38.1  61.1
38.2  60.5
39.3  44.9
57.0  22.0
67.4  21.8
69.6  22.6

Structural model:
Cell lengths 4.8441, 4.8441, 7.3442 Å; angles 109.04, 109.04, 90.46 degrees
Positions (direct):
K 0.0000 0.0000 0.0000
Cd 0.6084 0.6084 0.2165
In 0.2457 0.7461 0.4920
In 0.3878 0.3878 0.7757
In 0.7461 0.2457 0.4920

[6]
Calculated X-ray powder pattern
Compound: AcPr5Pb5
Radiation: Cu Kα (λ = 1.5418 Å)
Structure: a DFT-relaxed cell (PBE, Alexandria)
Kinematic intensities with the Lorentz-polarization factor, no thermal factor.

Most intense lines, 2θ = 5–70°, low angle first:
2theta  Rel. int.
27.2  100.0
27.2  93.0
27.4  90.4
38.5  37.5
38.8  73.5
39.0  73.4
39.5  33.9
47.8  41.8
48.6  37.7
56.1  25.3
63.4  34.9
63.5  17.6

Structural model:
Cell lengths 8.0574, 8.0574, 9.1215 Å; angles 105.99, 105.99, 48.09 degrees
Positions (direct):
Ac 0.0000 0.0000 0.0000
Pr 0.0000 0.0000 0.5000
Pr 0.3293 0.3293 0.1624
Pr 0.3387 0.3387 0.6645
Pr 0.6613 0.6613 0.3355
Pr 0.6707 0.6707 0.8376
Pb 0.1688 0.1688 0.3450
Pb 0.1694 0.1694 0.8208
Pb 0.5000 0.5000 0.0000
Pb 0.8306 0.8306 0.1792
Pb 0.8312 0.8312 0.6550